# 1
# Tb12Sm2Mg
Theoretical XRD peak list, CuKα. Input: a DFT-relaxed cell (GGA-PBE, Alexandria).
Kinematic intensities with the Lorentz-polarization factor, no thermal factor.

Largest 10 diffraction maxima, in order of rising 2θ, 10° ≤ 2θ ≤ 90°:
3.016 Å, 2θ = 29.62°, rel. 27
2.947 Å, 2θ = 30.33°, rel. 37
2.839 Å, 2θ = 31.51°, rel. 100
2.811 Å, 2θ = 31.84°, rel. 95
2.800 Å, 2θ = 31.96°, rel. 36
2.675 Å, 2θ = 33.50°, rel. 14
2.664 Å, 2θ = 33.65°, rel. 35
2.537 Å, 2θ = 35.38°, rel. 16
2.007 Å, 2θ = 45.18°, rel. 18
1.634 Å, 2θ = 56.31°, rel. 28

Crystal structure
a = 6.6850 Å, b = 6.6850 Å, c = 24.3606 Å
α = 94.16°, β = 94.16°, γ = 116.42°
Fractional positions:
Tb: 0.0014 0.5640 0.6936
Tb: 0.0455 0.5383 0.8267
Tb: 0.1435 0.6624 0.0563
Tb: 0.1486 0.1486 0.6492
Tb: 0.1582 0.7040 0.5657
Tb: 0.1707 0.1707 0.0696
Tb: 0.2960 0.8418 0.4343
Tb: 0.3376 0.8565 0.9437
Tb: 0.3445 0.3445 0.9211
Tb: 0.3774 0.3774 0.3939
Tb: 0.4360 0.9986 0.3064
Tb: 0.4617 0.9545 0.1733
Tb: 0.5383 0.0455 0.8267
Tb: 0.5640 0.0014 0.6936
Tb: 0.6226 0.6226 0.6061
Tb: 0.6555 0.6555 0.0789
Tb: 0.6624 0.1435 0.0563
Tb: 0.7040 0.1582 0.5657
Tb: 0.8293 0.8293 0.9304
Tb: 0.8418 0.2960 0.4343
Tb: 0.8514 0.8514 0.3508
Tb: 0.8565 0.3376 0.9437
Tb: 0.9545 0.4617 0.1733
Tb: 0.9986 0.4360 0.3064
Sm: 0.0226 0.0226 0.7867
Sm: 0.4758 0.4758 0.2331
Sm: 0.5242 0.5242 0.7669
Sm: 0.9774 0.9774 0.2133
Mg: 0.2202 0.2202 0.5166
Mg: 0.7798 0.7798 0.4834



# 2
# Tb2SmMg5
Theoretical XRD peak list, CuKα. Input: a DFT-relaxed cell (GGA-PBE, Alexandria).
Kinematic intensities with the Lorentz-polarization factor, no thermal factor.

Largest 10 diffraction maxima, in order of rising 2θ, 10° ≤ 2θ ≤ 90°:
4.985 Å, 2θ = 17.79°, rel. 16
3.810 Å, 2θ = 23.35°, rel. 26
3.730 Å, 2θ = 23.86°, rel. 52
3.659 Å, 2θ = 24.33°, rel. 20
2.665 Å, 2θ = 33.63°, rel. 100
2.637 Å, 2θ = 33.99°, rel. 50
2.168 Å, 2θ = 41.65°, rel. 24
1.865 Å, 2θ = 48.83°, rel. 18
1.544 Å, 2θ = 59.90°, rel. 17
1.528 Å, 2θ = 60.60°, rel. 36

Crystal structure
a = 5.2748 Å, b = 5.2748 Å, c = 15.2394 Å
α = 90.00°, β = 90.00°, γ = 90.00°
Fractional positions:
Tb: 0.0000 0.0000 0.2418
Tb: 0.0000 0.0000 0.7582
Tb: 0.5000 0.5000 0.2582
Tb: 0.5000 0.5000 0.7418
Sm: 0.0000 0.0000 0.5000
Sm: 0.5000 0.5000 0.0000
Mg: 0.0000 0.0000 0.0000
Mg: 0.0000 0.5000 0.1207
Mg: 0.0000 0.5000 0.3793
Mg: 0.0000 0.5000 0.6207
Mg: 0.0000 0.5000 0.8793
Mg: 0.5000 0.0000 0.1207
Mg: 0.5000 0.0000 0.3793
Mg: 0.5000 0.0000 0.6207
Mg: 0.5000 0.0000 0.8793
Mg: 0.5000 0.5000 0.5000



# 3
# Tb2SmY2Mg2
Theoretical XRD peak list, CuKα. Input: a DFT-relaxed cell (GGA-PBE, Alexandria).
Kinematic intensities with the Lorentz-polarization factor, no thermal factor.

Largest 10 diffraction maxima, in order of rising 2θ, 10° ≤ 2θ ≤ 90°:
4.423 Å, 2θ = 20.07°, rel. 35
3.386 Å, 2θ = 26.32°, rel. 41
2.789 Å, 2θ = 32.09°, rel. 96
2.745 Å, 2θ = 32.62°, rel. 100
1.957 Å, 2θ = 46.41°, rel. 34
1.620 Å, 2θ = 56.82°, rel. 31
1.593 Å, 2θ = 57.87°, rel. 35
1.585 Å, 2θ = 58.21°, rel. 19
1.244 Å, 2θ = 76.61°, rel. 19
1.232 Å, 2θ = 77.50°, rel. 15

Crystal structure
a = 8.6390 Å, b = 8.6390 Å, c = 8.6390 Å
α = 37.06°, β = 37.06°, γ = 37.06°
Fractional positions:
Tb: 0.0729 0.0729 0.0729
Tb: 0.9271 0.9271 0.9271
Sm: 0.5000 0.5000 0.5000
Y: 0.3446 0.3446 0.3446
Y: 0.6554 0.6554 0.6554
Mg: 0.2110 0.2110 0.2110
Mg: 0.7890 0.7890 0.7890



# 4
# Sm6MgTc2
Theoretical XRD peak list, CuKα. Input: a DFT-relaxed cell (GGA-PBE, Alexandria).
Kinematic intensities with the Lorentz-polarization factor, no thermal factor.

Largest 10 diffraction maxima, in order of rising 2θ, 10° ≤ 2θ ≤ 90°:
6.963 Å, 2θ = 12.71°, rel. 31
2.906 Å, 2θ = 30.77°, rel. 100
2.748 Å, 2θ = 32.59°, rel. 44
2.683 Å, 2θ = 33.40°, rel. 32
2.643 Å, 2θ = 33.92°, rel. 67
2.459 Å, 2θ = 36.55°, rel. 24
2.327 Å, 2θ = 38.70°, rel. 17
1.776 Å, 2θ = 51.46°, rel. 14
1.690 Å, 2θ = 54.29°, rel. 18
1.608 Å, 2θ = 57.31°, rel. 19

Crystal structure
a = 8.7362 Å, b = 8.7362 Å, c = 8.7362 Å
α = 111.49°, β = 111.30°, γ = 105.68°
Fractional positions:
Sm: 0.0156 0.2307 0.7850
Sm: 0.1911 0.2849 0.4761
Sm: 0.1911 0.7151 0.9062
Sm: 0.3114 0.0168 0.7054
Sm: 0.3114 0.6060 0.2946
Sm: 0.4457 0.2307 0.2150
Sm: 0.5543 0.7693 0.7850
Sm: 0.6886 0.3940 0.7054
Sm: 0.6886 0.9832 0.2946
Sm: 0.8089 0.2849 0.0938
Sm: 0.8089 0.7151 0.5239
Sm: 0.9844 0.7693 0.2150
Mg: 0.0000 0.0000 0.0000
Mg: 0.5000 0.5000 0.0000
Tc: 0.1127 0.6127 0.5000
Tc: 0.3765 0.0000 0.3765
Tc: 0.6235 0.0000 0.6235
Tc: 0.8873 0.3873 0.5000



# 5
# Sm2MgTe
Theoretical XRD peak list, CuKα. Input: a DFT-relaxed cell (GGA-PBE, Alexandria).
Kinematic intensities with the Lorentz-polarization factor, no thermal factor.

Largest 10 diffraction maxima, in order of rising 2θ, 10° ≤ 2θ ≤ 90°:
7.040 Å, 2θ = 12.57°, rel. 14
3.996 Å, 2θ = 22.25°, rel. 16
2.826 Å, 2θ = 31.66°, rel. 60
2.641 Å, 2θ = 33.94°, rel. 100
1.998 Å, 2θ = 45.39°, rel. 22
1.594 Å, 2θ = 57.86°, rel. 43
1.494 Å, 2θ = 62.13°, rel. 17
1.321 Å, 2θ = 71.42°, rel. 11
1.264 Å, 2θ = 75.18°, rel. 10
1.246 Å, 2θ = 76.45°, rel. 9

Crystal structure
a = 3.9963 Å, b = 3.9963 Å, c = 7.0400 Å
α = 90.00°, β = 90.00°, γ = 90.00°
Fractional positions:
Sm: 0.0000 0.0000 0.2475
Sm: 0.0000 0.0000 0.7525
Mg: 0.5000 0.5000 0.5000
Te: 0.5000 0.5000 0.0000



# 6
# Sm2MgTe4
Theoretical XRD peak list, CuKα. Input: a DFT-relaxed cell (GGA-PBE, Alexandria).
Kinematic intensities with the Lorentz-polarization factor, no thermal factor.

Largest 10 diffraction maxima, in order of rising 2θ, 10° ≤ 2θ ≤ 90°:
7.040 Å, 2θ = 12.57°, rel. 30
3.376 Å, 2θ = 26.40°, rel. 50
3.360 Å, 2θ = 26.53°, rel. 100
2.609 Å, 2θ = 34.37°, rel. 17
2.592 Å, 2θ = 34.60°, rel. 35
2.584 Å, 2θ = 34.72°, rel. 36
2.221 Å, 2θ = 40.63°, rel. 39
2.196 Å, 2θ = 41.11°, rel. 20
1.996 Å, 2θ = 45.44°, rel. 17
1.841 Å, 2θ = 49.52°, rel. 18

Crystal structure
a = 16.0140 Å, b = 4.3914 Å, c = 7.7217 Å
α = 90.00°, β = 118.46°, γ = 90.00°
Fractional positions:
Sm: 0.2366 0.0000 0.2251
Sm: 0.2634 0.5000 0.7749
Sm: 0.7366 0.5000 0.2251
Sm: 0.7634 0.0000 0.7749
Mg: 0.0000 0.5000 0.5000
Mg: 0.5000 0.0000 0.5000
Te: 0.1140 0.5000 0.9316
Te: 0.1254 0.0000 0.4723
Te: 0.3746 0.5000 0.5277
Te: 0.3860 0.0000 0.0684
Te: 0.6140 0.0000 0.9316
Te: 0.6254 0.5000 0.4723
Te: 0.8746 0.0000 0.5277
Te: 0.8860 0.5000 0.0684



# 7
# Sm2ThMg6
Theoretical XRD peak list, CuKα. Input: a DFT-relaxed cell (GGA-PBE, Alexandria).
Kinematic intensities with the Lorentz-polarization factor, no thermal factor.

Largest 10 diffraction maxima, in order of rising 2θ, 10° ≤ 2θ ≤ 90°:
4.576 Å, 2θ = 19.40°, rel. 100
2.687 Å, 2θ = 33.34°, rel. 97
2.642 Å, 2θ = 33.93°, rel. 59
2.288 Å, 2θ = 39.38°, rel. 17
2.067 Å, 2θ = 43.79°, rel. 17
1.884 Å, 2θ = 48.31°, rel. 34
1.730 Å, 2θ = 52.94°, rel. 15
1.534 Å, 2θ = 60.34°, rel. 35
1.406 Å, 2θ = 66.52°, rel. 17
1.186 Å, 2θ = 81.12°, rel. 15

Crystal structure
a = 9.1526 Å, b = 9.1526 Å, c = 3.3201 Å
α = 90.00°, β = 90.00°, γ = 120.00°
Fractional positions:
Sm: 0.3333 0.6667 0.0000
Sm: 0.6667 0.3333 0.0000
Th: 0.0000 0.0000 0.0000
Mg: 0.0000 0.3336 0.5000
Mg: 0.0000 0.6664 0.5000
Mg: 0.3336 0.0000 0.5000
Mg: 0.3336 0.3336 0.5000
Mg: 0.6664 0.0000 0.5000
Mg: 0.6664 0.6664 0.5000



# 8
# SmTh2Mg6
Theoretical XRD peak list, CuKα. Input: a DFT-relaxed cell (GGA-PBE, Alexandria).
Kinematic intensities with the Lorentz-polarization factor, no thermal factor.

Largest 10 diffraction maxima, in order of rising 2θ, 10° ≤ 2θ ≤ 90°:
4.569 Å, 2θ = 19.43°, rel. 100
2.693 Å, 2θ = 33.26°, rel. 90
2.638 Å, 2θ = 33.99°, rel. 54
2.284 Å, 2θ = 39.45°, rel. 17
2.069 Å, 2θ = 43.76°, rel. 19
1.885 Å, 2θ = 48.29°, rel. 32
1.727 Å, 2θ = 53.03°, rel. 15
1.533 Å, 2θ = 60.36°, rel. 33
1.409 Å, 2θ = 66.33°, rel. 15
1.185 Å, 2θ = 81.21°, rel. 14

Crystal structure
a = 6.2410 Å, b = 6.2410 Å, c = 6.2410 Å
α = 94.12°, β = 94.12°, γ = 94.12°
Fractional positions:
Sm: 0.0000 0.0000 0.0000
Th: 0.3409 0.3409 0.3409
Th: 0.6591 0.6591 0.6591
Mg: 0.1648 0.5000 0.8351
Mg: 0.1648 0.8351 0.5000
Mg: 0.5000 0.1648 0.8352
Mg: 0.5000 0.8352 0.1648
Mg: 0.8351 0.1648 0.5000
Mg: 0.8351 0.5000 0.1648